# 1
# Ca2MgAl12Ni3
Computed powder diffraction line list, Cu Kα. Input: a cell relaxed with PBE.
Neutral-atom scattering factors, no anomalous dispersion.

The 10 most intense peaks (2θ from 10° to 90°), by angle:
2θ 12.84, intensity 28.4; 2θ 14.77, intensity 38.4; 2θ 24.36, intensity 100.0; 2θ 25.85, intensity 22.5; 2θ 36.99, intensity 28.2; 2θ 39.21, intensity 15.9; 2θ 41.94, intensity 62.3; 2θ 42.72, intensity 21.3; 2θ 49.10, intensity 21.1; 2θ 65.51, intensity 16.7

```
Ca2MgAl12Ni3
1.0
4.3082 2.4873 5.9973
-4.3082 2.4873 5.9973
0.0000 -4.9747 5.9973
Ca Mg Al Ni
2 1 12 3
Direct
0.0904 0.0904 0.0904 Ca
0.9096 0.9096 0.9096 Ca
0.5000 0.5000 0.5000 Mg
0.0977 0.6426 0.6426 Al
0.2356 0.2356 0.6086 Al
0.2356 0.6086 0.2356 Al
0.3574 0.3574 0.9023 Al
0.3574 0.9023 0.3574 Al
0.3914 0.7644 0.7644 Al
0.6086 0.2356 0.2356 Al
0.6426 0.0977 0.6426 Al
0.6426 0.6426 0.0977 Al
0.7644 0.3914 0.7644 Al
0.7644 0.7644 0.3914 Al
0.9023 0.3574 0.3574 Al
0.0000 0.5000 0.5000 Ni
0.5000 0.0000 0.5000 Ni
0.5000 0.5000 0.0000 Ni
```

# 2
# CaMg2Al6O12
Computed powder diffraction line list, Cu Kα. Input: a cell relaxed with PBE.
Neutral-atom scattering factors, no anomalous dispersion.

The 10 most intense peaks (2θ from 10° to 90°), by angle:
2θ 35.17, intensity 100.0; 2θ 37.73, intensity 40.6; 2θ 42.58, intensity 34.7; 2θ 44.78, intensity 90.7; 2θ 52.53, intensity 53.9; 2θ 53.98, intensity 27.7; 2θ 63.11, intensity 30.9; 2θ 64.80, intensity 52.1; 2θ 65.97, intensity 23.2; 2θ 77.03, intensity 25.3

```
CaMg2Al6O12
1.0
8.8393 0.0000 0.0000
-4.4196 7.6550 0.0000
0.0000 0.0000 2.8320
Ca Mg Al O
1 2 6 12
Direct
0.0000 0.0000 0.0000 Ca
0.3333 0.6667 0.5000 Mg
0.6667 0.3333 0.0000 Mg
0.0091 0.6538 0.5000 Al
0.3462 0.3554 0.5000 Al
0.3561 0.0127 0.0000 Al
0.6446 0.9909 0.5000 Al
0.6567 0.6439 0.0000 Al
0.9873 0.3433 0.0000 Al
0.1017 0.2913 0.5000 O
0.1315 0.5979 0.0000 O
0.1896 0.8983 0.5000 O
0.3100 0.2014 0.0000 O
0.4021 0.5336 0.0000 O
0.4664 0.8685 0.0000 O
0.5303 0.1296 0.5000 O
0.5993 0.4697 0.5000 O
0.7087 0.8104 0.5000 O
0.7986 0.1086 0.0000 O
0.8704 0.4007 0.5000 O
0.8914 0.6900 0.0000 O
```

# 3
# Ca2MgAl2Si3O12
Computed powder diffraction line list, Cu Kα. Input: a cell relaxed with PBE.
Neutral-atom scattering factors, no anomalous dispersion.

The 10 most intense peaks (2θ from 10° to 90°), by angle:
2θ 29.71, intensity 98.4; 2θ 29.82, intensity 83.1; 2θ 30.32, intensity 52.3; 2θ 30.66, intensity 73.0; 2θ 35.00, intensity 100.0; 2θ 35.60, intensity 39.8; 2θ 35.87, intensity 41.4; 2θ 42.39, intensity 33.0; 2θ 44.83, intensity 35.5; 2θ 56.59, intensity 31.1

```
Ca2MgAl2Si3O12
1.0
5.3478 0.0000 0.0000
1.4293 6.4327 0.0000
1.3565 0.3817 6.4461
Ca Mg Al Si O
2 1 2 3 12
Direct
0.0000 0.0000 0.0000 Ca
0.4964 0.3890 0.6072 Ca
0.9876 0.6067 0.4018 Mg
0.4905 0.7910 0.2231 Al
0.5250 0.8869 0.6955 Al
0.0260 0.0815 0.5065 Si
0.4722 0.3160 0.1177 Si
0.9660 0.5065 0.9326 Si
0.0526 0.5893 0.6981 O
0.1283 0.8972 0.3378 O
0.2379 0.3362 0.9797 O
0.2487 0.0843 0.6468 O
0.3880 0.5001 0.2797 O
0.4209 0.8055 0.9547 O
0.5590 0.0754 0.1980 O
0.5953 0.7234 0.4880 O
0.7406 0.3606 0.9472 O
0.7710 0.0330 0.6822 O
0.8634 0.6775 0.1094 O
0.9262 0.3098 0.4041 O
```

# 4
# CaMgAlPt2
Computed powder diffraction line list, Cu Kα. Input: a cell relaxed with PBE.
Neutral-atom scattering factors, no anomalous dispersion.

The 10 most intense peaks (2θ from 10° to 90°), by angle:
2θ 22.83, intensity 100.0; 2θ 30.57, intensity 57.0; 2θ 31.66, intensity 50.4; 2θ 43.78, intensity 35.3; 2θ 43.94, intensity 45.2; 2θ 44.74, intensity 42.7; 2θ 49.94, intensity 26.2; 2θ 55.03, intensity 21.0; 2θ 64.39, intensity 28.9; 2θ 80.56, intensity 16.0

```
CaMgAlPt2
1.0
4.1352 0.0000 0.0000
0.0000 4.1352 0.0000
0.0000 0.0000 11.6167
Ca Mg Al Pt
2 2 2 4
Direct
0.0000 0.0000 0.0000 Ca
0.5000 0.5000 0.5000 Ca
0.0000 0.5000 0.7500 Mg
0.5000 0.0000 0.2500 Mg
0.0000 0.5000 0.2500 Al
0.5000 0.0000 0.7500 Al
0.0000 0.0000 0.3849 Pt
0.0000 0.0000 0.6151 Pt
0.5000 0.5000 0.1151 Pt
0.5000 0.5000 0.8849 Pt
```

What did the second record say?
# CaMg2Al6O12
Computed powder diffraction line list, Cu Kα. Input: a cell relaxed with PBE.
Neutral-atom scattering factors, no anomalous dispersion.

The 10 most intense peaks (2θ from 10° to 90°), by angle:
2θ 35.17, intensity 100.0; 2θ 37.73, intensity 40.6; 2θ 42.58, intensity 34.7; 2θ 44.78, intensity 90.7; 2θ 52.53, intensity 53.9; 2θ 53.98, intensity 27.7; 2θ 63.11, intensity 30.9; 2θ 64.80, intensity 52.1; 2θ 65.97, intensity 23.2; 2θ 77.03, intensity 25.3

```
CaMg2Al6O12
1.0
8.8393 0.0000 0.0000
-4.4196 7.6550 0.0000
0.0000 0.0000 2.8320
Ca Mg Al O
1 2 6 12
Direct
0.0000 0.0000 0.0000 Ca
0.3333 0.6667 0.5000 Mg
0.6667 0.3333 0.0000 Mg
0.0091 0.6538 0.5000 Al
0.3462 0.3554 0.5000 Al
0.3561 0.0127 0.0000 Al
0.6446 0.9909 0.5000 Al
0.6567 0.6439 0.0000 Al
0.9873 0.3433 0.0000 Al
0.1017 0.2913 0.5000 O
0.1315 0.5979 0.0000 O
0.1896 0.8983 0.5000 O
0.3100 0.2014 0.0000 O
0.4021 0.5336 0.0000 O
0.4664 0.8685 0.0000 O
0.5303 0.1296 0.5000 O
0.5993 0.4697 0.5000 O
0.7087 0.8104 0.5000 O
0.7986 0.1086 0.0000 O
0.8704 0.4007 0.5000 O
0.8914 0.6900 0.0000 O
```